1.
Theoretical X-ray diffraction stick pattern of Tb2Si3 for λ = 1.5418 Å (Cu Kα), from a structure optimized by DFT (GGA-PBE).
Neutral-atom scattering factors, no anomalous dispersion.

The 10 most intense peaks (2θ from 10° to 90°), most intense first:
33.15°, I = 100; 26.79°, I = 63; 33.42°, I = 61; 51.92°, I = 42; 21.73°, I = 29; 57.94°, I = 25; 29.03°, I = 25; 43.66°, I = 22; 45.88°, I = 22; 43.30°, I = 19

abc: 12.477 12.477 3.956
angles: 90.00 90.00 160.87
Fractional coordinates of all 10 atoms:
Tb 0.070 0.930 0.750
Tb 0.203 0.797 0.250
Tb 0.797 0.203 0.750
Tb 0.930 0.070 0.250
Si 0.324 0.676 0.250
Si 0.381 0.619 0.750
Si 0.475 0.525 0.750
Si 0.525 0.475 0.250
Si 0.619 0.381 0.250
Si 0.676 0.324 0.750

---

2.
Theoretical X-ray diffraction stick pattern of Sc3Si3Ni for λ = 1.5418 Å (Cu Kα), from a structure optimized by DFT (GGA-PBE).
Neutral-atom scattering factors, no anomalous dispersion.

The 10 most intense peaks (2θ from 10° to 90°), most intense first:
35.39°, I = 100; 43.74°, I = 85; 45.51°, I = 67; 40.78°, I = 53; 35.95°, I = 51; 35.56°, I = 46; 35.77°, I = 39; 45.20°, I = 37; 37.58°, I = 34; 30.73°, I = 29

abc: 5.310 5.310 12.825
angles: 108.70 108.70 44.10
Fractional coordinates of all 14 atoms:
Sc 0.025 0.025 0.379
Sc 0.101 0.101 0.921
Sc 0.243 0.243 0.226
Sc 0.757 0.757 0.774
Sc 0.899 0.899 0.079
Sc 0.975 0.975 0.621
Si 0.367 0.367 0.454
Si 0.382 0.382 0.924
Si 0.461 0.461 0.763
Si 0.539 0.539 0.237
Si 0.618 0.618 0.076
Si 0.633 0.633 0.546
Ni 0.257 0.257 0.596
Ni 0.743 0.743 0.404

---

3.
Theoretical X-ray diffraction stick pattern of CsSrSiHO4 for λ = 1.5418 Å (Cu Kα), from a structure optimized by DFT (GGA-PBE).
Neutral-atom scattering factors, no anomalous dispersion.

The 10 most intense peaks (2θ from 10° to 90°), most intense first:
28.12°, I = 100; 28.05°, I = 87; 29.48°, I = 61; 20.28°, I = 58; 29.59°, I = 54; 29.78°, I = 48; 41.29°, I = 44; 55.00°, I = 42; 37.85°, I = 34; 36.33°, I = 31

abc: 6.000 8.009 6.037
angles: 90.00 119.54 90.00
Fractional coordinates of all 16 atoms:
Cs 0.225 0.000 0.349
Cs 0.775 0.500 0.651
Sr 0.490 0.245 0.986
Sr 0.510 0.745 0.014
Si 0.120 0.482 0.322
Si 0.880 0.982 0.678
H 0.041 0.722 0.492
H 0.959 0.222 0.508
O 0.195 0.988 0.859
O 0.197 0.658 0.515
O 0.210 0.330 0.534
O 0.270 0.488 0.157
O 0.730 0.988 0.843
O 0.790 0.830 0.466
O 0.803 0.158 0.485
O 0.805 0.488 0.141

---

4.
Theoretical X-ray diffraction stick pattern of BaSrI4 for λ = 1.5418 Å (Cu Kα), from a structure optimized by DFT (GGA-PBE).
Neutral-atom scattering factors, no anomalous dispersion.

The 10 most intense peaks (2θ from 10° to 90°), most intense first:
30.75°, I = 100; 54.71°, I = 26; 18.69°, I = 21; 54.57°, I = 13; 21.64°, I = 13; 44.11°, I = 12; 72.82°, I = 11; 36.26°, I = 8; 63.98°, I = 8; 89.21°, I = 7

abc: 5.807 5.807 8.251
angles: 90.00 90.00 90.00
Fractional coordinates of all 6 atoms:
Ba 0.000 0.000 0.000
Sr 0.500 0.500 0.500
I 0.000 0.500 0.258
I 0.000 0.500 0.742
I 0.500 0.000 0.258
I 0.500 0.000 0.742

---

5.
Theoretical X-ray diffraction stick pattern of KMg6SbO8 for λ = 1.5418 Å (Cu Kα), from a structure optimized by DFT (GGA-PBE).
Neutral-atom scattering factors, no anomalous dispersion.

The 10 most intense peaks (2θ from 10° to 90°), most intense first:
39.37°, I = 100; 57.46°, I = 55; 34.13°, I = 49; 40.10°, I = 45; 19.39°, I = 38; 27.81°, I = 32; 21.79°, I = 31; 56.90°, I = 30; 71.89°, I = 26; 29.33°, I = 20

abc: 4.577 4.577 8.994
angles: 90.00 90.00 90.00
Fractional coordinates of all 16 atoms:
K 0.000 0.000 0.000
Mg 0.000 0.500 0.232
Mg 0.000 0.500 0.768
Mg 0.500 0.000 0.232
Mg 0.500 0.000 0.768
Mg 0.500 0.500 0.000
Mg 0.500 0.500 0.500
Sb 0.000 0.000 0.500
O 0.000 0.000 0.262
O 0.000 0.000 0.738
O 0.000 0.500 0.000
O 0.000 0.500 0.500
O 0.500 0.000 0.000
O 0.500 0.000 0.500
O 0.500 0.500 0.252
O 0.500 0.500 0.748

---

6.
Theoretical X-ray diffraction stick pattern of Li3Pu for λ = 1.5418 Å (Cu Kα), from a structure optimized by DFT (GGA-PBE).
Neutral-atom scattering factors, no anomalous dispersion.

The 10 most intense peaks (2θ from 10° to 90°), most intense first:
22.15°, I = 100; 34.13°, I = 75; 47.14°, I = 43; 18.05°, I = 40; 28.72°, I = 27; 70.39°, I = 19; 54.43°, I = 19; 45.19°, I = 16; 67.36°, I = 15; 84.86°, I = 14

abc: 5.815 5.815 5.815
angles: 135.58 135.58 64.63
Fractional coordinates of all 4 atoms:
Li 0.000 0.000 0.000
Li 0.250 0.750 0.500
Li 0.750 0.250 0.500
Pu 0.500 0.500 0.000

---

7.
Theoretical X-ray diffraction stick pattern of K3SbO4 for λ = 1.5418 Å (Cu Kα), from a structure optimized by DFT (GGA-PBE).
Neutral-atom scattering factors, no anomalous dispersion.

The 10 most intense peaks (2θ from 10° to 90°), most intense first:
34.56°, I = 100; 29.86°, I = 73; 14.07°, I = 64; 11.84°, I = 57; 35.99°, I = 49; 28.36°, I = 42; 47.87°, I = 32; 57.34°, I = 31; 18.43°, I = 29; 32.67°, I = 27

abc: 6.636 7.477 5.780
angles: 90.00 108.48 90.00
Fractional coordinates of all 16 atoms:
K 0.000 0.109 0.250
K 0.000 0.375 0.750
K 0.000 0.625 0.250
K 0.000 0.891 0.750
K 0.500 0.389 0.250
K 0.500 0.611 0.750
Sb 0.500 0.113 0.750
Sb 0.500 0.887 0.250
O 0.291 0.296 0.572
O 0.291 0.704 0.072
O 0.331 0.087 0.006
O 0.331 0.913 0.506
O 0.669 0.087 0.494
O 0.669 0.913 0.994
O 0.709 0.296 0.928
O 0.709 0.704 0.428